No. 1
Starting from a crystal structure in Alexandria, relaxed with GGA-PBE, the XRD peak list of Er5Tm3Sc was calculated for copper Kα.

Crystal structure
```
18
Lattice="-4.454 4.454 6.973 4.454 -4.454 6.973 4.454 4.454 -6.973" Properties=species:S:1:pos:R:3 pbc="T T T"
Er 0.000 0.000 0.000
Er 6.228 1.773 -1.845
Er 1.773 2.681 -1.845
Er 6.228 1.773 1.845
Er 1.773 2.681 1.845
Er 0.000 0.000 6.973
Er 2.681 1.773 5.127
Er -1.773 2.681 5.127
Er 2.681 1.773 8.818
Er -1.773 2.681 8.818
Tm 3.455 0.999 0.000
Tm 0.000 0.000 3.486
Tm 3.455 -0.999 6.973
Tm 0.999 5.453 0.000
Tm 0.000 0.000 10.459
Tm 0.999 3.455 6.973
Sc 4.454 0.000 3.486
Sc 0.000 4.454 3.486
```

Most intense lines, 10° ≤ 2θ ≤ 90°, most intense first:
Position (°2θ), I/Imax
32.62, 100
29.53, 75
28.34, 52
31.76, 41
36.95, 30
42.33, 24
39.44, 22
59.15, 22
46.34, 14
50.76, 13

***

No. 2
Starting from a crystal structure in Alexandria, relaxed with GGA-PBE, the XRD peak list of ErTm9Sc2 was calculated for copper Kα.

Crystal structure
```
12
Lattice="10.892 0.000 0.000 -5.446 9.433 0.000 0.000 0.000 3.413" Properties=species:S:1:pos:R:3 pbc="T T T"
Er 0.000 0.000 0.000
Tm -2.723 4.716 0.000
Tm 0.000 3.376 1.706
Tm -2.523 7.745 1.706
Tm 2.923 1.688 1.706
Tm 5.446 0.000 0.000
Tm 2.723 4.716 0.000
Tm 2.523 7.745 1.706
Tm 7.969 1.688 1.706
Tm 5.446 6.057 1.706
Sc 0.000 6.289 0.000
Sc 5.446 3.144 0.000
```

Most intense lines, 10° ≤ 2θ ≤ 90°, most intense first:
Position (°2θ), I/Imax
32.89, 100
32.38, 90
58.40, 31
46.83, 30
64.44, 29
58.73, 16
36.44, 16
30.92, 13
83.63, 12
24.98, 12

***

No. 3
Starting from a crystal structure in Alexandria, relaxed with GGA-PBE, the XRD peak list of Er2Tm7Sc3 was calculated for copper Kα.

Crystal structure
```
12
Lattice="2.799 -18.077 0.000 2.799 18.077 0.000 0.000 0.000 3.488" Properties=species:S:1:pos:R:3 pbc="T T T"
Er 2.799 11.752 0.000
Er 2.799 -11.752 0.000
Tm 0.000 0.000 0.000
Tm 2.799 14.805 1.744
Tm 2.799 8.243 0.000
Tm 2.799 2.571 0.000
Tm 2.799 -2.571 0.000
Tm 2.799 -8.243 0.000
Tm 2.799 -14.805 1.744
Sc 2.799 5.388 1.744
Sc 2.799 0.000 1.744
Sc 2.799 -5.388 1.744
```

Most intense lines, 10° ≤ 2θ ≤ 90°, most intense first:
Position (°2θ), I/Imax
34.94, 100
31.97, 60
31.57, 54
32.69, 48
29.65, 27
62.81, 26
58.91, 22
23.43, 22
25.54, 19
27.41, 19

***

No. 4
Starting from a crystal structure in Alexandria, relaxed with GGA-PBE, the XRD peak list of ErTm6Sc2 was calculated for copper Kα.

Crystal structure
```
9
Lattice="3.489 0.000 0.000 -1.745 3.022 0.000 0.000 0.000 25.048" Properties=species:S:1:pos:R:3 pbc="T T T"
Er 0.000 0.000 0.000
Tm 0.000 0.000 5.612
Tm 0.000 0.000 10.843
Tm 0.000 0.000 14.205
Tm 0.000 0.000 19.436
Tm 0.000 2.014 2.802
Tm 0.000 2.014 22.246
Sc 0.000 2.014 8.241
Sc 0.000 2.014 16.807
```

Most intense lines, 10° ≤ 2θ ≤ 90°, most intense first:
Position (°2θ), I/Imax
34.67, 100
32.91, 70
29.56, 58
32.16, 42
62.87, 37
52.45, 36
44.25, 33
60.10, 27
64.41, 17
29.78, 15

***

No. 5
Starting from a crystal structure in Alexandria, relaxed with GGA-PBE, the XRD peak list of Er4Tm3Sc4 was calculated for copper Kα.

Crystal structure
```
11
Lattice="3.423 0.000 0.000 0.000 4.806 0.000 -1.705 -2.403 18.779" Properties=species:S:1:pos:R:3 pbc="T T T"
Er 0.000 0.000 1.762
Er 0.005 -0.001 11.870
Er 1.713 2.404 6.909
Er 1.718 2.403 17.017
Tm 0.001 0.001 5.150
Tm 1.711 2.403 0.000
Tm 1.717 2.402 13.629
Sc 0.002 0.001 8.583
Sc 0.006 0.000 15.316
Sc 1.712 2.404 3.463
Sc 1.715 2.403 10.196
```

Most intense lines, 10° ≤ 2θ ≤ 90°, most intense first:
Position (°2θ), I/Imax
32.13, 100
37.19, 33
53.75, 17
63.86, 17
37.42, 17
64.20, 13
14.15, 12
21.96, 12
53.79, 11
63.95, 10

***

No. 6
Starting from a crystal structure in Alexandria, relaxed with GGA-PBE, the XRD peak list of Er7TmSc3 was calculated for copper Kα.

Crystal structure
```
11
Lattice="-2.822 5.272 5.494 2.822 -5.272 5.494 2.822 5.272 -5.494" Properties=species:S:1:pos:R:3 pbc="T T T"
Er 0.000 0.000 0.000
Er 2.822 -2.008 3.241
Er 2.822 3.201 0.000
Er 2.822 2.008 3.241
Er 0.000 3.264 2.253
Er 0.000 2.071 5.494
Er 0.000 7.280 2.253
Tm 2.822 0.000 0.000
Sc 0.000 0.000 3.156
Sc 0.000 5.272 0.000
Sc 0.000 0.000 7.832
```

Most intense lines, 10° ≤ 2θ ≤ 90°, most intense first:
Position (°2θ), I/Imax
34.20, 100
31.71, 78
33.77, 65
26.63, 58
29.06, 48
32.60, 37
41.87, 35
59.45, 32
23.39, 32
46.12, 28

***

No. 7
Starting from a crystal structure in Alexandria, relaxed with GGA-PBE, the XRD peak list of Er4TmSc3 was calculated for copper Kα.

Crystal structure
```
16
Lattice="10.802 0.000 0.000 0.000 6.973 0.000 0.000 0.000 6.017" Properties=species:S:1:pos:R:3 pbc="T T T"
Er 0.000 0.853 0.000
Er 0.000 4.374 5.973
Er 2.706 2.606 4.987
Er 2.695 4.367 1.978
Er 5.401 2.599 2.965
Er 5.401 6.120 3.008
Er 8.097 2.606 4.987
Er 8.107 4.367 1.978
Tm 0.000 6.125 3.027
Tm 5.401 0.848 0.018
Sc 0.000 2.595 2.965
Sc 2.665 0.866 2.007
Sc 2.736 6.107 5.015
Sc 5.401 4.377 5.973
Sc 8.066 6.107 5.015
Sc 8.137 0.866 2.007
```

Most intense lines, 10° ≤ 2θ ≤ 90°, most intense first:
Position (°2θ), I/Imax
34.07, 100
29.64, 25
33.17, 24
59.84, 19
45.08, 17
63.66, 16
52.65, 13
20.80, 11
64.10, 11
19.49, 9

***

No. 8
Starting from a crystal structure in Alexandria, relaxed with GGA-PBE, the XRD peak list of Er2Tm2Sc7 was calculated for copper Kα.

Crystal structure
```
11
Lattice="3.095 -5.544 0.000 3.095 5.544 0.000 -2.812 0.000 8.602" Properties=species:S:1:pos:R:3 pbc="T T T"
Er 3.095 3.208 0.000
Er 3.095 -3.208 0.000
Tm 1.254 0.000 2.530
Tm 2.125 0.000 6.071
Sc -1.406 0.000 4.301
Sc -0.213 2.330 5.660
Sc -0.919 0.000 7.613
Sc -0.213 -2.330 5.660
Sc 3.592 2.330 2.942
Sc 4.298 0.000 0.989
Sc 3.592 -2.330 2.942
```

Most intense lines, 10° ≤ 2θ ≤ 90°, most intense first:
Position (°2θ), I/Imax
33.16, 100
31.20, 74
26.22, 66
32.00, 58
17.34, 56
32.29, 53
31.04, 52
30.39, 50
19.04, 50
38.93, 48

***

No. 9
Starting from a crystal structure in Alexandria, relaxed with GGA-PBE, the XRD peak list of Er4TmSc was calculated for copper Kα.

Crystal structure
```
6
Lattice="5.476 0.000 0.000 0.000 1.771 9.193 0.000 -1.771 9.193" Properties=species:S:1:pos:R:3 pbc="T T T"
Er 0.000 0.000 0.000
Er 0.000 0.000 6.051
Er 2.738 0.000 4.012
Er 2.738 0.000 10.209
Tm 2.738 0.000 16.296
Sc 0.000 0.000 12.203
```

Most intense lines, 10° ≤ 2θ ≤ 90°, most intense first:
Position (°2θ), I/Imax
33.50, 100
29.13, 25
32.71, 24
62.49, 22
58.89, 20
51.64, 19
44.36, 16
62.97, 16
85.70, 14
82.11, 8

***

No. 10
Starting from a crystal structure in Alexandria, relaxed with GGA-PBE, the XRD peak list of ErTm10Sc4 was calculated for copper Kα.

Crystal structure
```
15
Lattice="-5.164 5.164 4.522 5.164 -5.164 4.522 5.164 5.164 -4.522" Properties=species:S:1:pos:R:3 pbc="T T T"
Er 0.000 0.000 0.000
Tm 6.420 -2.998 2.868
Tm 2.166 -1.256 1.654
Tm 5.164 0.000 2.261
Tm 8.162 1.256 1.654
Tm 1.256 2.166 1.654
Tm 3.908 2.998 2.868
Tm -2.998 3.908 2.868
Tm 0.000 5.164 2.261
Tm 2.998 6.420 2.868
Tm -1.256 8.162 1.654
Sc 5.540 2.728 0.000
Sc 2.728 4.788 0.000
Sc 2.436 0.376 4.522
Sc -0.376 2.436 4.522
```

Most intense lines, 10° ≤ 2θ ≤ 90°, most intense first:
Position (°2θ), I/Imax
33.86, 100
27.31, 84
39.00, 54
13.01, 53
35.56, 48
19.63, 37
39.74, 31
32.80, 31
44.03, 23
62.81, 23

***

No. 11
Starting from a crystal structure in Alexandria, relaxed with GGA-PBE, the XRD peak list of Er3Tm4Sc2 was calculated for copper Kα.

Crystal structure
```
18
Lattice="8.027 -5.604 0.000 8.027 5.604 0.000 -0.704 0.000 5.796" Properties=species:S:1:pos:R:3 pbc="T T T"
Er 7.499 3.992 4.347
Er 4.666 1.729 5.338
Er 5.018 -1.729 2.440
Er 10.332 1.729 3.356
Er 10.684 -1.729 0.458
Er 7.851 -3.992 1.449
Tm 3.296 1.179 2.271
Tm 6.671 1.258 2.636
Tm 2.944 -1.179 5.168
Tm 9.031 1.258 0.262
Tm 6.319 -1.258 5.533
Tm 12.406 1.179 0.627
Tm 8.679 -1.258 3.160
Tm 12.054 -1.179 3.525
Sc 6.282 4.326 1.196
Sc 9.420 4.326 1.702
Sc 5.930 -4.326 4.094
Sc 9.068 -4.326 4.600
```

Most intense lines, 10° ≤ 2θ ≤ 90°, most intense first:
Position (°2θ), I/Imax
32.92, 100
31.39, 62
31.73, 57
31.94, 46
39.22, 31
38.93, 29
57.57, 21
57.92, 20
29.19, 16
52.99, 14

***

No. 12
Starting from a crystal structure in Alexandria, relaxed with GGA-PBE, the XRD peak list of Er5Tm4Sc3 was calculated for copper Kα.

Crystal structure
```
12
Lattice="7.902 -2.816 0.000 7.902 2.816 0.000 -4.140 0.000 7.966" Properties=species:S:1:pos:R:3 pbc="T T T"
Er 0.000 0.000 0.000
Er 2.577 0.000 4.948
Er 5.520 0.000 2.309
Er 6.145 0.000 5.658
Er 9.088 0.000 3.019
Tm -0.537 0.000 3.497
Tm -0.233 0.000 6.996
Tm 11.898 0.000 0.970
Tm 12.203 0.000 4.469
Sc 2.405 0.000 1.853
Sc 7.902 0.000 0.000
Sc 9.260 0.000 6.113
```

Most intense lines, 10° ≤ 2θ ≤ 90°, most intense first:
Position (°2θ), I/Imax
31.77, 100
32.67, 84
30.47, 69
33.42, 65
30.69, 61
35.18, 43
34.12, 41
29.99, 34
32.29, 30
24.92, 28